# 1
Diffraction record for Li2Mn2FeO6. The powder diffractogram is theoretical, not measured: it uses a cell relaxed with PBE+U and a wavelength of 1.5418 Å.

Top 10 peaks for 10° ≤ 2θ ≤ 90°, by intensity:
2θ (°), I_rel
17.68, 100
43.05, 25
35.96, 24
37.47, 22
46.84, 17
56.11, 16
63.68, 10
46.96, 8
66.59, 8
61.34, 7

Atomic structure:
Lattice parameters (Å, degrees): 5.060 8.781 10.173 90.00 99.43 90.00
Space group C2 (No. 5)
Symmetry-distinct sites (fractional):
Li: 0.094 0.000 0.257 x4
Li: 0.103 0.338 0.252 x4
Mn: 0.000 0.001 0.000 x2
Mn: 0.000 0.334 0.000 x2
Mn: 0.000 0.507 0.500 x2
Mn: 0.000 0.837 0.500 x2
Fe: 0.000 0.171 0.500 x2
Fe: 0.000 0.668 0.000 x2
O: 0.116 0.164 0.894 x4
O: 0.132 0.843 0.894 x4
O: 0.143 0.495 0.894 x4
O: 0.195 0.994 0.606 x4
O: 0.200 0.675 0.605 x4
O: 0.208 0.347 0.605 x4

# 2
Diffraction record for LiMnF4. The powder diffractogram is theoretical, not measured: it uses a cell relaxed with PBE+U and a wavelength of 1.5418 Å.

Top 10 peaks for 10° ≤ 2θ ≤ 90°, by intensity:
2θ (°), I_rel
20.77, 100
22.68, 51
53.78, 46
34.74, 45
15.41, 43
40.64, 38
26.66, 37
38.87, 34
39.68, 25
61.06, 22

Atomic structure:
Lattice parameters (Å, degrees): 4.608 11.497 5.361 90.00 90.00 90.00
Space group Pbcn (No. 60)
Symmetry-distinct sites (fractional):
Li: 0.000 0.171 0.250 x4
Mn: 0.000 0.427 0.250 x4
F: 0.222 0.312 0.101 x8
F: 0.233 0.452 0.601 x8